Diffraction record for Li2AgN. The powder diffractogram is calculated, not measured: it uses a cell relaxed with PBE and λ = 1.5418 Å (Cu Kα).
Kinematic intensities with the Lorentz-polarization factor, no thermal factor.

Structural model:
```
Li2AgN
1.0
5.297 0.000 0.000
0.000 7.587 0.000
0.000 0.000 4.783
Li Ag N
8 4 4
Direct
0.126 0.226 0.000
0.241 0.957 0.171
0.259 0.957 0.671
0.374 0.226 0.500
0.626 0.774 0.000
0.741 0.043 0.171
0.759 0.043 0.671
0.874 0.774 0.500
0.097 0.600 0.993
0.403 0.600 0.493
0.597 0.400 0.993
0.903 0.400 0.493
0.029 0.142 0.400
0.471 0.142 0.900
0.529 0.858 0.400
0.971 0.858 0.900
```

Main lines, in order of rising 2θ (2θ = 10–80°):
| 2theta | Rel. int. |
| --- | --- |
| 11.66 | 100 |
| 27.75 | 36 |
| 28.95 | 17 |
| 34.61 | 34 |
| 38.87 | 23 |
| 39.50 | 24 |
| 40.72 | 26 |
| 43.96 | 25 |

Diffraction record for Mg6MnCr. The powder diffractogram is calculated, not measured: it uses a cell relaxed with PBE and λ = 1.5418 Å (Cu Kα).
Kinematic intensities with the Lorentz-polarization factor, no thermal factor.

Structural model:
```
Mg6MnCr
1.0
4.955 0.000 0.000
0.000 6.149 0.000
0.000 0.000 10.709
Mg Mn Cr
12 2 2
Direct
0.000 0.000 0.000
0.000 0.242 0.254
0.000 0.258 0.754
0.000 0.500 0.500
0.000 0.742 0.754
0.000 0.758 0.254
0.500 0.000 0.834
0.500 0.242 0.580
0.500 0.258 0.080
0.500 0.500 0.334
0.500 0.742 0.080
0.500 0.758 0.580
0.000 0.000 0.500
0.000 0.500 0.000
0.500 0.000 0.333
0.500 0.500 0.833
```

Main lines, in order of rising 2θ (2θ = 10–80°):
| 2theta | Rel. int. |
| --- | --- |
| 16.61 | 28 |
| 33.61 | 23 |
| 36.26 | 39 |
| 38.21 | 48 |
| 38.34 | 100 |
| 59.92 | 16 |
| 66.58 | 26 |
| 72.09 | 18 |

Diffraction record for Hg3Se2F2. The powder diffractogram is calculated, not measured: it uses a cell relaxed with PBE and λ = 1.5418 Å (Cu Kα).
Kinematic intensities with the Lorentz-polarization factor, no thermal factor.

Structural model:
```
Hg3Se2F2
1.0
-4.314 4.314 4.314
4.314 -4.314 4.314
4.314 4.314 -4.314
Hg Se F
6 4 4
Direct
0.165 0.915 0.250
0.250 0.165 0.915
0.335 0.585 0.750
0.585 0.750 0.335
0.750 0.335 0.585
0.915 0.250 0.165
0.000 0.580 0.500
0.500 0.000 0.580
0.580 0.500 0.000
0.920 0.920 0.920
0.000 0.023 0.500
0.023 0.500 0.000
0.477 0.477 0.477
0.500 0.000 0.023
```

Main lines, in order of rising 2θ (2θ = 10–80°):
| 2theta | Rel. int. |
| --- | --- |
| 20.59 | 19 |
| 25.28 | 100 |
| 32.83 | 81 |
| 39.06 | 35 |
| 44.55 | 16 |
| 47.11 | 27 |
| 54.21 | 52 |
| 66.84 | 22 |

Diffraction record for BaScZn3GaO7. The powder diffractogram is calculated, not measured: it uses a cell relaxed with PBE and λ = 1.5418 Å (Cu Kα).
Kinematic intensities with the Lorentz-polarization factor, no thermal factor.

Structural model:
```
BaScZn3GaO7
1.0
6.286 0.000 0.000
-3.143 5.444 0.000
0.000 0.000 10.209
Ba Sc Zn Ga O
2 2 6 2 14
Direct
0.333 0.667 0.000
0.667 0.333 0.500
0.333 0.667 0.633
0.667 0.333 0.133
0.173 0.346 0.314
0.173 0.827 0.314
0.346 0.173 0.814
0.654 0.827 0.314
0.827 0.173 0.814
0.827 0.654 0.814
0.000 0.000 0.065
0.000 0.000 0.565
0.000 0.000 0.249
0.000 0.000 0.749
0.015 0.508 0.746
0.164 0.329 0.509
0.164 0.836 0.509
0.329 0.164 0.009
0.492 0.508 0.746
0.492 0.985 0.746
0.508 0.015 0.246
0.508 0.492 0.246
0.671 0.836 0.509
0.836 0.164 0.009
0.836 0.671 0.009
0.985 0.492 0.246
```

Main lines, in order of rising 2θ (2θ = 10–80°):
| 2theta | Rel. int. |
| --- | --- |
| 28.40 | 27 |
| 30.99 | 65 |
| 33.48 | 85 |
| 34.09 | 100 |
| 35.16 | 22 |
| 51.93 | 25 |
| 56.33 | 36 |
| 58.76 | 38 |

Diffraction record for SrO10. The powder diffractogram is calculated, not measured: it uses a cell relaxed with PBE and λ = 1.5418 Å (Cu Kα).
Kinematic intensities with the Lorentz-polarization factor, no thermal factor.

Structural model:
```
SrO10
1.0
6.844 0.000 0.000
0.000 6.844 0.000
0.000 0.000 11.980
Sr O
4 40
Direct
0.250 0.750 0.250
0.250 0.750 0.750
0.750 0.250 0.250
0.750 0.250 0.750
0.004 0.598 0.099
0.004 0.902 0.599
0.006 0.589 0.897
0.006 0.911 0.397
0.089 0.506 0.603
0.089 0.994 0.103
0.098 0.504 0.401
0.098 0.996 0.901
0.250 0.250 0.145
0.250 0.250 0.381
0.250 0.250 0.645
0.250 0.250 0.881
0.402 0.504 0.901
0.402 0.996 0.401
0.411 0.506 0.103
0.411 0.994 0.603
0.494 0.589 0.397
0.494 0.911 0.897
0.496 0.598 0.599
0.496 0.902 0.099
0.504 0.098 0.901
0.504 0.402 0.401
0.506 0.089 0.103
0.506 0.411 0.603
0.589 0.006 0.397
0.589 0.494 0.897
0.598 0.004 0.599
0.598 0.496 0.099
0.750 0.750 0.119
0.750 0.750 0.355
0.750 0.750 0.619
0.750 0.750 0.855
0.902 0.004 0.099
0.902 0.496 0.599
0.911 0.006 0.897
0.911 0.494 0.397
0.994 0.089 0.603
0.994 0.411 0.103
0.996 0.098 0.401
0.996 0.402 0.901
```

Main lines, in order of rising 2θ (2θ = 10–80°):
| 2theta | Rel. int. |
| --- | --- |
| 18.33 | 34 |
| 23.63 | 91 |
| 30.07 | 100 |
| 35.24 | 63 |
| 37.15 | 58 |
| 40.00 | 55 |
| 44.51 | 35 |
| 52.14 | 41 |

Diffraction record for Y2TeO6. The powder diffractogram is calculated, not measured: it uses a cell relaxed with PBE and λ = 1.5418 Å (Cu Kα).
Kinematic intensities with the Lorentz-polarization factor, no thermal factor.

Structural model:
```
Y2TeO6
1.0
9.210 0.000 0.000
-4.605 7.976 0.000
0.000 0.000 5.218
Y Te O
6 3 18
Direct
0.000 0.284 0.000
0.000 0.622 0.500
0.284 0.000 0.000
0.378 0.378 0.500
0.622 0.000 0.500
0.716 0.716 0.000
0.000 0.000 0.500
0.333 0.667 0.005
0.667 0.333 0.995
0.080 0.880 0.290
0.120 0.200 0.290
0.133 0.543 0.219
0.200 0.120 0.710
0.222 0.758 0.793
0.242 0.465 0.793
0.409 0.867 0.219
0.457 0.591 0.219
0.465 0.242 0.207
0.535 0.778 0.793
0.543 0.133 0.781
0.591 0.457 0.781
0.758 0.222 0.207
0.778 0.535 0.207
0.800 0.920 0.290
0.867 0.409 0.781
0.880 0.080 0.710
0.920 0.800 0.710
```

Main lines, in order of rising 2θ (2θ = 10–80°):
| 2theta | Rel. int. |
| --- | --- |
| 20.34 | 30 |
| 25.80 | 100 |
| 28.16 | 67 |
| 33.71 | 49 |
| 34.36 | 50 |
| 48.91 | 65 |
| 53.03 | 37 |
| 61.54 | 15 |

Diffraction record for KCePrGeO6. The powder diffractogram is calculated, not measured: it uses a cell relaxed with PBE and λ = 1.5418 Å (Cu Kα).
Kinematic intensities with the Lorentz-polarization factor, no thermal factor.

Structural model:
```
KCePrGeO6
1.0
0.000 4.111 4.111
4.111 0.000 4.111
4.111 4.111 0.000
K Ce Pr Ge O
1 1 1 1 6
Direct
0.000 0.000 0.000
0.250 0.250 0.250
0.500 0.500 0.500
0.750 0.750 0.750
0.518 0.518 0.982
0.518 0.982 0.518
0.518 0.982 0.982
0.982 0.518 0.518
0.982 0.518 0.982
0.982 0.982 0.518
```

Main lines, in order of rising 2θ (2θ = 10–80°):
| 2theta | Rel. int. |
| --- | --- |
| 18.69 | 21 |
| 30.76 | 100 |
| 36.23 | 14 |
| 44.05 | 33 |
| 48.24 | 7 |
| 54.69 | 39 |
| 64.06 | 20 |
| 72.74 | 17 |